For Ca3Cu2Pt7, a DFT-relaxed cell (PBE, Alexandria) gives the calculated XRD peak list in this record (copper Kα).
Kinematic intensities with the Lorentz-polarization factor, no thermal factor.

Largest 12 diffraction maxima, in order of rising 2θ, 2θ = 5–70°:
- 2θ 19.1, d = 4.637 Å, rel. 82
- 2θ 20.8, d = 4.279 Å, rel. 49
- 2θ 23.4, d = 3.800 Å, rel. 16
- 2θ 33.8, d = 2.653 Å, rel. 18
- 2θ 38.3, d = 2.347 Å, rel. 43
- 2θ 38.8, d = 2.319 Å, rel. 33
- 2θ 39.2, d = 2.297 Å, rel. 73
- 2θ 42.2, d = 2.141 Å, rel. 100
- 2θ 43.3, d = 2.092 Å, rel. 15
- 2θ 45.8, d = 1.983 Å, rel. 52
- 2θ 63.0, d = 1.475 Å, rel. 18
- 2θ 69.0, d = 1.361 Å, rel. 28

Atomic structure:
Cell: 9.117 9.117 9.117 Å, 34.74 34.74 34.74°
Element x y z (fractional)
Ca (0.000, 0.000, 0.000)
Ca (0.141, 0.141, 0.141)
Ca (0.859, 0.859, 0.859)
Cu (0.333, 0.333, 0.333)
Cu (0.667, 0.667, 0.667)
Pt (0.078, 0.583, 0.583)
Pt (0.417, 0.417, 0.922)
Pt (0.417, 0.922, 0.417)
Pt (0.500, 0.500, 0.500)
Pt (0.583, 0.078, 0.583)
Pt (0.583, 0.583, 0.078)
Pt (0.922, 0.417, 0.417)


For Ca3Cu2Pt, a DFT-relaxed cell (PBE, Alexandria) gives the calculated XRD peak list in this record (copper Kα).
Kinematic intensities with the Lorentz-polarization factor, no thermal factor.

Largest 12 diffraction maxima, in order of rising 2θ, 2θ = 5–70°:
- 2θ 10.6, d = 8.327 Å, rel. 100
- 2θ 16.8, d = 5.291 Å, rel. 81
- 2θ 16.9, d = 5.242 Å, rel. 75
- 2θ 23.4, d = 3.798 Å, rel. 43
- 2θ 24.0, d = 3.701 Å, rel. 30
- 2θ 31.1, d = 2.877 Å, rel. 67
- 2θ 34.5, d = 2.598 Å, rel. 75
- 2θ 37.7, d = 2.385 Å, rel. 57
- 2θ 38.7, d = 2.326 Å, rel. 35
- 2θ 40.4, d = 2.233 Å, rel. 63
- 2θ 42.4, d = 2.134 Å, rel. 41
- 2θ 45.9, d = 1.977 Å, rel. 25

Atomic structure:
Cell: 11.868 4.267 11.686 Å, 90.00 90.00 90.00°
Element x y z (fractional)
Ca (0.052, 0.250, 0.127)
Ca (0.115, 0.750, 0.555)
Ca (0.219, 0.250, 0.800)
Ca (0.281, 0.750, 0.300)
Ca (0.385, 0.250, 0.055)
Ca (0.448, 0.750, 0.627)
Ca (0.552, 0.250, 0.373)
Ca (0.615, 0.750, 0.945)
Ca (0.719, 0.250, 0.700)
Ca (0.781, 0.750, 0.200)
Ca (0.885, 0.250, 0.445)
Ca (0.948, 0.750, 0.873)
Cu (0.021, 0.750, 0.310)
Cu (0.197, 0.750, 0.997)
Cu (0.303, 0.250, 0.497)
Cu (0.479, 0.250, 0.810)
Cu (0.521, 0.750, 0.190)
Cu (0.697, 0.750, 0.503)
Cu (0.803, 0.250, 0.003)
Cu (0.979, 0.250, 0.690)
Pt (0.126, 0.250, 0.373)
Pt (0.374, 0.750, 0.873)
Pt (0.626, 0.250, 0.127)
Pt (0.874, 0.750, 0.627)


For Ca2Cu6SiPt, a DFT-relaxed cell (PBE, Alexandria) gives the calculated XRD peak list in this record (copper Kα).
Kinematic intensities with the Lorentz-polarization factor, no thermal factor.

Largest 12 diffraction maxima, in order of rising 2θ, 2θ = 5–70°:
- 2θ 17.4, d = 5.089 Å, rel. 80
- 2θ 17.5, d = 5.064 Å, rel. 39
- 2θ 19.9, d = 4.454 Å, rel. 63
- 2θ 28.8, d = 3.096 Å, rel. 22
- 2θ 33.4, d = 2.687 Å, rel. 40
- 2θ 33.5, d = 2.672 Å, rel. 100
- 2θ 40.4, d = 2.230 Å, rel. 26
- 2θ 43.0, d = 2.102 Å, rel. 26
- 2θ 45.0, d = 2.014 Å, rel. 22
- 2θ 46.2, d = 1.963 Å, rel. 57
- 2θ 50.2, d = 1.816 Å, rel. 18
- 2θ 50.6, d = 1.804 Å, rel. 23

Atomic structure:
Cell: 6.175 6.185 6.407 Å, 61.66 61.27 60.19°
Element x y z (fractional)
Ca (0.197, 0.196, 0.411)
Ca (0.803, 0.804, 0.589)
Cu (0.170, 0.624, 0.894)
Cu (0.313, 0.170, 0.890)
Cu (0.374, 0.689, 0.108)
Cu (0.626, 0.311, 0.892)
Cu (0.687, 0.830, 0.110)
Cu (0.830, 0.376, 0.106)
Si (0.000, 0.000, 0.000)
Pt (0.500, 0.500, 0.500)


For Ca2Zn2CuPt5, a DFT-relaxed cell (PBE, Alexandria) gives the calculated XRD peak list in this record (copper Kα).
Kinematic intensities with the Lorentz-polarization factor, no thermal factor.

Largest 12 diffraction maxima, in order of rising 2θ, 2θ = 5–70°:
- 2θ 20.8, d = 4.273 Å, rel. 27
- 2θ 23.5, d = 3.787 Å, rel. 49
- 2θ 29.6, d = 3.021 Å, rel. 17
- 2θ 35.6, d = 2.521 Å, rel. 19
- 2θ 38.1, d = 2.362 Å, rel. 100
- 2θ 38.9, d = 2.317 Å, rel. 42
- 2θ 40.0, d = 2.252 Å, rel. 16
- 2θ 41.6, d = 2.171 Å, rel. 48
- 2θ 44.9, d = 2.020 Å, rel. 14
- 2θ 45.9, d = 1.977 Å, rel. 30
- 2θ 48.1, d = 1.893 Å, rel. 27
- 2θ 63.4, d = 1.466 Å, rel. 20

Atomic structure:
Cell: 9.554 9.554 3.787 Å, 90.00 90.00 90.00°
Element x y z (fractional)
Ca (0.176, 0.324, 0.000)
Ca (0.324, 0.824, 0.000)
Ca (0.676, 0.176, 0.000)
Ca (0.824, 0.676, 0.000)
Zn (0.125, 0.625, 0.000)
Zn (0.375, 0.125, 0.000)
Zn (0.625, 0.875, 0.000)
Zn (0.875, 0.375, 0.000)
Cu (0.000, 0.000, 0.000)
Cu (0.500, 0.500, 0.000)
Pt (0.000, 0.500, 0.500)
Pt (0.062, 0.800, 0.500)
Pt (0.200, 0.062, 0.500)
Pt (0.300, 0.562, 0.500)
Pt (0.438, 0.300, 0.500)
Pt (0.500, 0.000, 0.500)
Pt (0.562, 0.700, 0.500)
Pt (0.700, 0.438, 0.500)
Pt (0.800, 0.938, 0.500)
Pt (0.938, 0.200, 0.500)


For CaPuCu2Se4, a DFT-relaxed cell (PBE, Alexandria) gives the calculated XRD peak list in this record (copper Kα).
Kinematic intensities with the Lorentz-polarization factor, no thermal factor.

Largest 12 diffraction maxima, in order of rising 2θ, 2θ = 5–70°:
- 2θ 17.3, d = 5.132 Å, rel. 73
- 2θ 18.1, d = 4.891 Å, rel. 18
- 2θ 29.6, d = 3.014 Å, rel. 100
- 2θ 31.2, d = 2.868 Å, rel. 39
- 2θ 35.0, d = 2.566 Å, rel. 77
- 2θ 36.7, d = 2.446 Å, rel. 87
- 2θ 46.1, d = 1.968 Å, rel. 14
- 2θ 47.5, d = 1.914 Å, rel. 21
- 2θ 47.9, d = 1.899 Å, rel. 54
- 2θ 52.9, d = 1.729 Å, rel. 30
- 2θ 61.5, d = 1.507 Å, rel. 38
- 2θ 65.0, d = 1.434 Å, rel. 25

Atomic structure:
Cell: 6.211 6.211 6.211 Å, 112.32 112.32 103.92°
Element x y z (fractional)
Ca (0.000, 0.000, 0.000)
Pu (0.500, 0.500, 0.000)
Cu (0.249, 0.749, 0.500)
Cu (0.751, 0.251, 0.500)
Se (0.006, 0.006, 0.520)
Se (0.487, 0.487, 0.480)
Se (0.513, 0.994, 0.000)
Se (0.994, 0.513, 0.000)


For CaCuRe, a DFT-relaxed cell (PBE, Alexandria) gives the calculated XRD peak list in this record (copper Kα).
Kinematic intensities with the Lorentz-polarization factor, no thermal factor.

Largest 12 diffraction maxima, in order of rising 2θ, 2θ = 5–70°:
- 2θ 16.6, d = 5.342 Å, rel. 100
- 2θ 17.0, d = 5.221 Å, rel. 16
- 2θ 24.3, d = 3.668 Å, rel. 13
- 2θ 33.6, d = 2.671 Å, rel. 24
- 2θ 36.7, d = 2.450 Å, rel. 26
- 2θ 41.2, d = 2.193 Å, rel. 34
- 2θ 41.7, d = 2.166 Å, rel. 35
- 2θ 42.4, d = 2.132 Å, rel. 22
- 2θ 45.8, d = 1.980 Å, rel. 16
- 2θ 47.5, d = 1.915 Å, rel. 15
- 2θ 48.9, d = 1.862 Å, rel. 14
- 2θ 55.1, d = 1.666 Å, rel. 14

Atomic structure:
Cell: 5.755 5.755 5.224 Å, 91.93 91.93 43.49°
Element x y z (fractional)
Ca (0.000, 0.000, 0.000)
Ca (0.552, 0.552, 0.513)
Cu (0.285, 0.285, 0.269)
Cu (0.824, 0.824, 0.492)
Re (0.259, 0.259, 0.757)
Re (0.733, 0.733, 0.000)


For Ca2CuSi2Rh5, a DFT-relaxed cell (PBE, Alexandria) gives the calculated XRD peak list in this record (copper Kα).
Kinematic intensities with the Lorentz-polarization factor, no thermal factor.

Largest 12 diffraction maxima, in order of rising 2θ, 2θ = 5–70°:
- 2θ 19.8, d = 4.479 Å, rel. 18
- 2θ 27.8, d = 3.204 Å, rel. 25
- 2θ 32.2, d = 2.778 Å, rel. 19
- 2θ 34.4, d = 2.606 Å, rel. 19
- 2θ 37.0, d = 2.429 Å, rel. 55
- 2θ 37.9, d = 2.376 Å, rel. 24
- 2θ 38.1, d = 2.361 Å, rel. 13
- 2θ 40.0, d = 2.253 Å, rel. 100
- 2θ 40.3, d = 2.240 Å, rel. 29
- 2θ 43.1, d = 2.099 Å, rel. 40
- 2θ 46.9, d = 1.936 Å, rel. 22
- 2θ 57.5, d = 1.602 Å, rel. 17

Atomic structure:
Cell: 10.016 10.016 3.204 Å, 90.00 90.00 90.00°
Element x y z (fractional)
Ca (0.173, 0.327, 0.000)
Ca (0.327, 0.827, 0.000)
Ca (0.673, 0.173, 0.000)
Ca (0.827, 0.673, 0.000)
Cu (0.000, 0.000, 0.000)
Cu (0.500, 0.500, 0.000)
Si (0.129, 0.629, 0.000)
Si (0.371, 0.129, 0.000)
Si (0.629, 0.871, 0.000)
Si (0.871, 0.371, 0.000)
Rh (0.000, 0.500, 0.500)
Rh (0.066, 0.793, 0.500)
Rh (0.207, 0.066, 0.500)
Rh (0.293, 0.566, 0.500)
Rh (0.434, 0.293, 0.500)
Rh (0.500, 0.000, 0.500)
Rh (0.566, 0.707, 0.500)
Rh (0.707, 0.434, 0.500)
Rh (0.793, 0.934, 0.500)
Rh (0.934, 0.207, 0.500)


For Ca2Zn2Cu5Rh, a DFT-relaxed cell (PBE, Alexandria) gives the calculated XRD peak list in this record (copper Kα).
Kinematic intensities with the Lorentz-polarization factor, no thermal factor.

Largest 12 diffraction maxima, in order of rising 2θ, 2θ = 5–70°:
- 2θ 18.6, d = 4.778 Å, rel. 18
- 2θ 20.8, d = 4.274 Å, rel. 11
- 2θ 36.4, d = 2.466 Å, rel. 20
- 2θ 38.9, d = 2.317 Å, rel. 100
- 2θ 40.0, d = 2.252 Å, rel. 7
- 2θ 42.3, d = 2.136 Å, rel. 35
- 2θ 48.6, d = 1.874 Å, rel. 7
- 2θ 50.6, d = 1.804 Å, rel. 16
- 2θ 54.3, d = 1.689 Å, rel. 9
- 2θ 64.7, d = 1.440 Å, rel. 6
- 2θ 65.6, d = 1.424 Å, rel. 12
- 2θ 68.0, d = 1.379 Å, rel. 6

Atomic structure:
Cell: 9.556 9.556 3.608 Å, 90.00 90.00 90.00°
Element x y z (fractional)
Ca (0.180, 0.320, 0.000)
Ca (0.320, 0.820, 0.000)
Ca (0.680, 0.180, 0.000)
Ca (0.820, 0.680, 0.000)
Zn (0.119, 0.619, 0.000)
Zn (0.381, 0.119, 0.000)
Zn (0.619, 0.881, 0.000)
Zn (0.881, 0.381, 0.000)
Cu (0.000, 0.500, 0.500)
Cu (0.053, 0.807, 0.500)
Cu (0.193, 0.053, 0.500)
Cu (0.307, 0.553, 0.500)
Cu (0.447, 0.307, 0.500)
Cu (0.500, 0.000, 0.500)
Cu (0.553, 0.693, 0.500)
Cu (0.693, 0.447, 0.500)
Cu (0.807, 0.947, 0.500)
Cu (0.947, 0.193, 0.500)
Rh (0.000, 0.000, 0.000)
Rh (0.500, 0.500, 0.000)


For Ca2Zn3Cu12Rh, a DFT-relaxed cell (PBE, Alexandria) gives the calculated XRD peak list in this record (copper Kα).
Kinematic intensities with the Lorentz-polarization factor, no thermal factor.

Largest 12 diffraction maxima, in order of rising 2θ, 2θ = 5–70°:
- 2θ 9.5, d = 9.278 Å, rel. 75
- 2θ 18.0, d = 4.935 Å, rel. 36
- 2θ 30.9, d = 2.895 Å, rel. 73
- 2θ 34.6, d = 2.593 Å, rel. 79
- 2θ 35.2, d = 2.547 Å, rel. 31
- 2θ 36.4, d = 2.465 Å, rel. 64
- 2θ 39.5, d = 2.282 Å, rel. 56
- 2θ 43.0, d = 2.103 Å, rel. 73
- 2θ 46.0, d = 1.975 Å, rel. 48
- 2θ 47.5, d = 1.916 Å, rel. 100
- 2θ 55.9, d = 1.645 Å, rel. 39
- 2θ 60.8, d = 1.524 Å, rel. 46

Atomic structure:
Cell: 9.923 9.923 9.923 Å, 35.77 35.77 35.77°
Element x y z (fractional)
Ca (0.150, 0.150, 0.150)
Ca (0.850, 0.850, 0.850)
Zn (0.000, 0.500, 0.500)
Zn (0.500, 0.000, 0.500)
Zn (0.500, 0.500, 0.000)
Cu (0.081, 0.081, 0.687)
Cu (0.081, 0.687, 0.081)
Cu (0.149, 0.566, 0.566)
Cu (0.313, 0.919, 0.919)
Cu (0.434, 0.434, 0.851)
Cu (0.434, 0.851, 0.434)
Cu (0.566, 0.149, 0.566)
Cu (0.566, 0.566, 0.149)
Cu (0.687, 0.081, 0.081)
Cu (0.851, 0.434, 0.434)
Cu (0.919, 0.313, 0.919)
Cu (0.919, 0.919, 0.313)
Rh (0.500, 0.500, 0.500)


For CaCuRu, a DFT-relaxed cell (PBE, Alexandria) gives the calculated XRD peak list in this record (copper Kα).
Kinematic intensities with the Lorentz-polarization factor, no thermal factor.

Largest 12 diffraction maxima, in order of rising 2θ, 2θ = 5–70°:
- 2θ 20.1, d = 4.425 Å, rel. 100
- 2θ 21.0, d = 4.233 Å, rel. 23
- 2θ 33.5, d = 2.674 Å, rel. 18
- 2θ 38.5, d = 2.338 Å, rel. 62
- 2θ 39.0, d = 2.308 Å, rel. 29
- 2θ 39.7, d = 2.269 Å, rel. 62
- 2θ 40.8, d = 2.213 Å, rel. 82
- 2θ 41.2, d = 2.190 Å, rel. 96
- 2θ 42.7, d = 2.116 Å, rel. 77
- 2θ 46.6, d = 1.947 Å, rel. 17
- 2θ 49.6, d = 1.839 Å, rel. 28
- 2θ 65.0, d = 1.436 Å, rel. 24

Atomic structure:
Cell: 5.362 5.362 5.362 Å, 123.92 119.82 86.83°
Element x y z (fractional)
Ca (0.369, 0.119, 0.250)
Ca (0.631, 0.881, 0.750)
Cu (0.000, 0.500, 0.500)
Cu (0.500, 0.500, 0.000)
Ru (0.000, 0.000, 0.500)
Ru (0.000, 0.500, 0.000)


For Ca2UCu2S6, a DFT-relaxed cell (PBE, Alexandria) gives the calculated XRD peak list in this record (copper Kα).
Kinematic intensities with the Lorentz-polarization factor, no thermal factor.

Largest 12 diffraction maxima, in order of rising 2θ, 2θ = 5–70°:
- 2θ 13.6, d = 6.514 Å, rel. 74
- 2θ 15.9, d = 5.568 Å, rel. 18
- 2θ 21.0, d = 4.233 Å, rel. 66
- 2θ 27.8, d = 3.215 Å, rel. 52
- 2θ 31.0, d = 2.883 Å, rel. 64
- 2θ 35.1, d = 2.560 Å, rel. 19
- 2θ 39.4, d = 2.288 Å, rel. 100
- 2θ 45.3, d = 2.003 Å, rel. 19
- 2θ 49.1, d = 1.856 Å, rel. 36
- 2θ 50.7, d = 1.799 Å, rel. 21
- 2θ 51.2, d = 1.785 Å, rel. 16
- 2θ 64.7, d = 1.441 Å, rel. 22

Atomic structure:
Cell: 6.429 6.429 6.514 Å, 90.00 90.00 120.00°
Element x y z (fractional)
Ca (0.333, 0.667, 0.000)
Ca (0.667, 0.333, 0.000)
U (0.000, 0.000, 0.500)
Cu (0.333, 0.667, 0.500)
Cu (0.667, 0.333, 0.500)
S (0.000, 0.337, 0.279)
S (0.000, 0.663, 0.721)
S (0.337, 0.000, 0.279)
S (0.337, 0.337, 0.721)
S (0.663, 0.000, 0.721)
S (0.663, 0.663, 0.279)


For Ca2CuSb, a DFT-relaxed cell (PBE, Alexandria) gives the calculated XRD peak list in this record (copper Kα).
Kinematic intensities with the Lorentz-polarization factor, no thermal factor.

Largest 12 diffraction maxima, in order of rising 2θ, 2θ = 5–70°:
- 2θ 17.4, d = 5.107 Å, rel. 9
- 2θ 22.5, d = 3.952 Å, rel. 10
- 2θ 24.7, d = 3.611 Å, rel. 16
- 2θ 28.6, d = 3.125 Å, rel. 5
- 2θ 33.6, d = 2.666 Å, rel. 100
- 2θ 35.1, d = 2.554 Å, rel. 44
- 2θ 42.1, d = 2.145 Å, rel. 8
- 2θ 45.9, d = 1.976 Å, rel. 13
- 2θ 50.5, d = 1.806 Å, rel. 15
- 2θ 52.8, d = 1.733 Å, rel. 4
- 2θ 59.1, d = 1.563 Å, rel. 19
- 2θ 62.1, d = 1.495 Å, rel. 32

Atomic structure:
Cell: 5.107 5.107 3.952 Å, 90.00 90.00 90.00°
Element x y z (fractional)
Ca (0.000, 0.500, 0.000)
Ca (0.500, 0.000, 0.000)
Cu (0.000, 0.000, 0.500)
Sb (0.500, 0.500, 0.500)


Q: Number 4 is which compound?
A: Ca2Zn2CuPt5